For V4OF11, the GGA+U geometry in the Materials Project gives the calculated powder diffractogram in this record (Cu Kα (λ = 1.5418 Å)).

The 12 most intense peaks (5 to 70 degrees two-theta), in order of rising 2θ:
index	d [Å]	2theta	I_rel
1 0 3	3.797	23.43	1000
0 1 3	3.754	23.70	501
0 1 -5	2.736	32.74	73
1 -1 0	2.721	32.91	145
1 1 -6	2.279	39.54	198
2 0 6	1.898	47.92	214
0 2 6	1.877	48.50	97
1 2 -7	1.723	53.15	191
2 3 -1	1.719	53.29	59
-1 2 3	1.710	53.58	70
1 3 4	1.707	53.70	60
3 1 4	1.674	54.86	66

Structural model:
Cell: 5.2733 5.4449 17.4571 Å, 83.62 81.44 61.19°
Space group P-1 (No. 2)
Asymmetric unit:
V1 0.0000 0.0000 0.0000
V2 0.1206 0.1464 0.6293
V3 0.2420 0.2603 0.2521
V4 0.3774 0.3707 0.8745
V5 0.5000 0.5000 0.5000
O1 0.0245 0.4222 0.6841
F1 0.0119 0.4129 0.1627
F2 0.0313 0.0451 0.2886
F3 0.2129 0.2128 0.9624
F4 0.2175 0.8195 0.5652
F5 0.2329 0.8423 0.0885
F6 0.2577 0.6748 0.4138
F7 0.2870 0.2851 0.5370
F8 0.2936 0.6840 0.9376
F9 0.4644 0.4613 0.2130
F10 0.4661 0.0574 0.8108
F11 0.4878 0.0847 0.3393